This entry pairs a crystal structure of LiRuSeI with its theoretical X-ray diffraction stick pattern. Radiation: λ = 1.5418 Å (Cu Kα). Structure: a structure optimized by DFT (GGA-PBE).

Top 12 peaks for 10 to 90 degrees two-theta, sorted by position:
| 2theta | I_rel | h k l |
| --- | --- | --- |
| 13.9 | 70 | 0 0 1 |
| 26.5 | 100 | 0 1 1 |
| 29.0 | 52 | 1 0 1 |
| 33.5 | 22 | 1 1 0 |
| 35.8 | 45 | 1 1 -1 |
| 36.2 | 21 | 0 1 2 |
| 43.2 | 36 | 1 1 -2 |
| 45.1 | 24 | 1 1 2 |
| 45.9 | 22 | 0 2 0 |
| 48.3 | 20 | 1 0 -3 |
| 48.6 | 22 | 0 1 3 |
| 55.7 | 22 | 2 1 0 |

Crystal structure
abc: 3.635 3.953 6.399
angles: 90.00 93.34 90.00
Sites, in units of the cell vectors:
Li1 0.000 0.000 0.000
Ru1 0.013 0.500 0.324
Se1 0.484 0.500 0.074
I1 0.780 0.000 0.557



This entry pairs a crystal structure of UInBi3 with its theoretical X-ray diffraction stick pattern. Radiation: λ = 1.5418 Å (Cu Kα). Structure: a structure optimized by DFT (GGA-PBE).

Top 12 peaks for 10 to 90 degrees two-theta, sorted by position:
| 2theta | I_rel | h k l |
| --- | --- | --- |
| 31.3 | 100 | 1 0 2 |
| 32.5 | 91 | 1 2 1 |
| 34.4 | 39 | 0 2 -1 |
| 34.7 | 34 | 0 1 2 |
| 41.5 | 25 | 2 1 1 |
| 48.1 | 15 | 0 1 -3 |
| 54.9 | 21 | 2 3 0 |
| 55.2 | 18 | 2 2 3 |
| 58.9 | 16 | 1 3 -2 |
| 59.5 | 12 | 1 1 4 |
| 61.0 | 14 | 1 4 0 |
| 65.3 | 12 | 2 2 -2 |

Crystal structure
abc: 4.352 6.091 6.320
angles: 85.25 69.89 69.19
Sites, in units of the cell vectors:
U1 0.000 0.000 0.000
In1 0.603 0.586 0.209
Bi1 0.211 0.155 0.426
Bi2 0.357 0.416 0.870
Bi3 0.812 0.781 0.594